Dy2Y2InGa4: simulated X-ray powder pattern (Cu Kα (λ = 1.5418 Å)), based on a structure optimized by DFT (PBE).

Largest 10 diffraction maxima, by angle, 15° ≤ 2θ ≤ 90°:
| d_spacing | I (rel.) | hkl |
| --- | --- | --- |
| 5.019 | 28 | 1 1 0 |
| 3.549 | 21 | 2 0 0 |
| 2.798 | 100 | 2 0 2 |
| 2.509 | 62 | 2 2 0 |
| 2.195 | 40 | 2 1 3 |
| 1.867 | 14 | 3 0 3 |
| 1.774 | 21 | 4 0 0 |
| 1.687 | 14 | 2 2 4 |
| 1.652 | 11 | 3 2 3 |
| 1.499 | 29 | 4 2 2 |

Crystal structure
Cell: 7.098 7.098 9.119 Å, 90.00 90.00 90.00°
Space group I4/mmm (No. 139)
Asymmetric unit:
Dy  0.000  0.000  0.184 (multiplicity 4)
Y  0.000  0.500  0.250 (multiplicity 4)
In  0.000  0.000  0.500 (multiplicity 2)
Ga  0.239  0.239  0.000 (multiplicity 8)

---

Dy2Ga2Ir: simulated X-ray powder pattern (Cu Kα (λ = 1.5418 Å)), based on a structure optimized by DFT (PBE).

Largest 10 diffraction maxima, by angle, 15° ≤ 2θ ≤ 90°:
| d_spacing | I (rel.) | hkl |
| --- | --- | --- |
| 2.765 | 100 | 1 1 2 |
| 2.699 | 31 | 3 1 -1 |
| 2.682 | 90 | 1 1 -3 |
| 2.652 | 64 | 3 1 -2 |
| 2.434 | 77 | 3 1 -3 |
| 2.409 | 29 | 0 0 4 |
| 2.283 | 89 | 3 1 1 |
| 2.058 | 61 | 0 2 0 |
| 1.633 | 34 | 4 0 3 |
| 1.442 | 36 | 7 1 -3 |

Crystal structure
Cell: 10.776 4.117 10.657 Å, 90.00 115.29 90.00°
Space group C2/m (No. 12)
Asymmetric unit:
Dy  0.006  0.000  0.329 (multiplicity 4)
Dy  0.190  0.000  0.122 (multiplicity 4)
Ga  0.027  0.500  0.890 (multiplicity 4)
Ga  0.150  0.500  0.551 (multiplicity 4)
Ir  0.215  0.500  0.331 (multiplicity 4)

---

Dy3Ga3Ir2: simulated X-ray powder pattern (Cu Kα (λ = 1.5418 Å)), based on a structure optimized by DFT (PBE).

Largest 10 diffraction maxima, by angle, 15° ≤ 2θ ≤ 90°:
| d_spacing | I (rel.) | hkl |
| --- | --- | --- |
| 3.384 | 33 | 1 3 1 |
| 2.729 | 64 | 2 4 0 |
| 2.593 | 80 | 1 1 2 |
| 2.528 | 56 | 0 6 0 |
| 2.452 | 100 | 2 4 1 |
| 2.371 | 61 | 3 0 1 |
| 2.334 | 93 | 1 3 2 |
| 2.162 | 51 | 1 4 2 |
| 2.147 | 31 | 3 3 1 |
| 1.673 | 42 | 1 7 2 |

Crystal structure
Cell: 7.858 15.175 5.585 Å, 90.00 90.00 90.00°
Space group Pnma (No. 62)
Asymmetric unit:
Dy  0.039  0.109  0.111 (multiplicity 8)
Dy  0.175  0.250  0.632 (multiplicity 4)
Ga  0.165  0.750  0.628 (multiplicity 4)
Ga  0.178  0.036  0.603 (multiplicity 8)
Ir  0.112  0.609  0.377 (multiplicity 8)

---

DyGa12Ir7: simulated X-ray powder pattern (Cu Kα (λ = 1.5418 Å)), based on a structure optimized by DFT (PBE).

Largest 10 diffraction maxima, by angle, 15° ≤ 2θ ≤ 90°:
| d_spacing | I (rel.) | hkl |
| --- | --- | --- |
| 3.253 | 100 | 2 2 0 |
| 2.910 | 13 | 3 0 1 |
| 2.459 | 8 | 3 1 2 |
| 2.300 | 46 | 4 0 0 |
| 2.057 | 7 | 4 0 2 |
| 1.962 | 5 | 3 3 2 |
| 1.878 | 82 | 4 2 2 |
| 1.627 | 19 | 4 4 0 |
| 1.455 | 22 | 6 0 2 |
| 1.230 | 37 | 6 4 2 |

Crystal structure
Cell: 9.201 9.201 9.201 Å, 90.00 90.00 90.00°
Space group Im-3 (No. 204)
Asymmetric unit:
Dy  0.000  0.000  0.000 (multiplicity 2)
Ga  0.000  0.335  0.219 (multiplicity 24)
Ir  0.000  0.000  0.500 (multiplicity 6)
Ir  0.250  0.250  0.250 (multiplicity 8)

---

DyGaIr: simulated X-ray powder pattern (Cu Kα (λ = 1.5418 Å)), based on a structure optimized by DFT (PBE).

Largest 10 diffraction maxima, by angle, 15° ≤ 2θ ≤ 90°:
| d_spacing | I (rel.) | hkl |
| --- | --- | --- |
| 3.741 | 18 | 1 1 0 |
| 2.642 | 100 | 1 1 3 |
| 2.162 | 57 | 3 0 0 |
| 1.871 | 5 | 2 2 0 |
| 1.865 | 9 | 0 0 6 |
| 1.673 | 26 | 2 2 3 |
| 1.412 | 22 | 3 0 6 |
| 1.323 | 23 | 4 1 3 |
| 1.248 | 10 | 3 3 0 |
| 1.180 | 5 | 1 1 9 |

Crystal structure
Cell: 7.4879 7.4879 11.1880 Å, 90.00 90.00 120.00°
Space group R32 (No. 155, hexagonal axes)
Asymmetric unit:
Dy  0.0000  0.6724  0.0000 (multiplicity 9)
Ga  0.9998  0.3332  0.1667 (multiplicity 9)
Ir  0.0000  0.0000  0.1929 (multiplicity 6)
Ir  0.0000  0.0000  0.5000 (multiplicity 3)

---

DyGaNiIr: simulated X-ray powder pattern (Cu Kα (λ = 1.5418 Å)), based on a structure optimized by DFT (PBE).

Largest 8 diffraction maxima, by angle, 15° ≤ 2θ ≤ 90°:
| d_spacing | I (rel.) | hkl |
| --- | --- | --- |
| 3.708 | 23 | 1 1 1 |
| 2.270 | 100 | 2 2 0 |
| 1.936 | 12 | 3 1 1 |
| 1.605 | 17 | 4 0 0 |
| 1.473 | 5 | 3 3 1 |
| 1.311 | 34 | 4 2 2 |
| 1.236 | 4 | 5 1 1 |
| 1.135 | 11 | 4 4 0 |

Crystal structure
Cell: 6.422 6.422 6.422 Å, 90.00 90.00 90.00°
Space group F-43m (No. 216)
Asymmetric unit:
Dy  0.000  0.000  0.000 (multiplicity 4)
Ga  0.000  0.000  0.500 (multiplicity 4)
Ni  0.250  0.250  0.750 (multiplicity 4)
Ir  0.250  0.250  0.250 (multiplicity 4)

---

DyGa2IrRh: simulated X-ray powder pattern (Cu Kα (λ = 1.5418 Å)), based on a structure optimized by DFT (PBE).

Largest 10 diffraction maxima, by angle, 15° ≤ 2θ ≤ 90°:
| d_spacing | I (rel.) | hkl |
| --- | --- | --- |
| 3.908 | 13 | 1 0 1 |
| 2.622 | 38 | 1 0 3 |
| 2.574 | 100 | 1 1 2 |
| 2.122 | 50 | 2 0 0 |
| 1.921 | 16 | 1 1 4 |
| 1.810 | 13 | 1 0 5 |
| 1.650 | 19 | 2 1 3 |
| 1.501 | 16 | 2 2 0 |
| 1.458 | 17 | 1 1 6 |
| 1.296 | 23 | 3 1 2 |

Crystal structure
Cell: 4.245 4.245 10.004 Å, 90.00 90.00 90.00°
Space group I-4m2 (No. 119)
Asymmetric unit:
Dy  0.000  0.000  0.000 (multiplicity 2)
Ga  0.000  0.000  0.376 (multiplicity 4)
Ir  0.000  0.500  0.750 (multiplicity 2)
Rh  0.000  0.500  0.250 (multiplicity 2)

---

Dy2TaGa3Ir4: simulated X-ray powder pattern (Cu Kα (λ = 1.5418 Å)), based on a structure optimized by DFT (PBE).

Largest 10 diffraction maxima, by angle, 15° ≤ 2θ ≤ 90°:
| d_spacing | I (rel.) | hkl |
| --- | --- | --- |
| 3.298 | 22 | 1 0 2 |
| 2.716 | 37 | 1 0 3 |
| 2.591 | 100 | 1 1 2 |
| 2.094 | 58 | 2 0 0 |
| 1.985 | 35 | 1 1 4 |
| 1.906 | 20 | 1 0 5 |
| 1.659 | 17 | 2 1 3 |
| 1.481 | 19 | 2 2 0 |
| 1.410 | 15 | 2 1 5 |
| 1.286 | 23 | 3 1 2 |

Crystal structure
Cell: 4.189 4.189 10.701 Å, 90.00 90.00 90.00°
Space group P-4m2 (No. 115)
Asymmetric unit:
Dy  0.000  0.500  0.224 (multiplicity 2)
Ta  0.000  0.000  0.500 (multiplicity 1)
Ga  0.000  0.500  0.873 (multiplicity 2)
Ga  0.500  0.500  0.500 (multiplicity 1)
Ir  0.000  0.000  0.000 (multiplicity 1)
Ir  0.000  0.500  0.640 (multiplicity 2)
Ir  0.500  0.500  0.000 (multiplicity 1)

---

KDyGaO4: simulated X-ray powder pattern (Cu Kα (λ = 1.5418 Å)), based on a structure optimized by DFT (PBE).

Largest 10 diffraction maxima, by angle, 15° ≤ 2θ ≤ 90°:
| d_spacing | I (rel.) | hkl |
| --- | --- | --- |
| 5.064 | 58 | 1 0 1 |
| 4.786 | 21 | 0 0 2 |
| 2.984 | 22 | 2 0 0 |
| 2.937 | 100 | 1 2 1 |
| 2.880 | 24 | 0 2 2 |
| 2.814 | 49 | 1 0 3 |
| 2.649 | 18 | 2 1 1 |
| 2.299 | 20 | 2 2 0 |
| 1.714 | 21 | 3 2 1 |
| 1.658 | 42 | 2 2 4 |

Crystal structure
Cell: 5.967 7.212 9.572 Å, 90.00 90.00 90.00°
Space group Imma (No. 74)
Asymmetric unit:
K  0.250  0.250  0.250 (multiplicity 4)
Dy  0.000  0.000  0.000 (multiplicity 4)
Ga  0.000  0.250  0.637 (multiplicity 4)
O  0.000  0.043  0.758 (multiplicity 8)
O  0.245  0.250  0.984 (multiplicity 8)

---

La2DyGa6: simulated X-ray powder pattern (Cu Kα (λ = 1.5418 Å)), based on a structure optimized by DFT (PBE).

Largest 10 diffraction maxima, by angle, 15° ≤ 2θ ≤ 90°:
| d_spacing | I (rel.) | hkl |
| --- | --- | --- |
| 3.714 | 11 | 1 1 0 |
| 2.826 | 100 | 1 1 1 |
| 2.177 | 14 | 0 0 2 |
| 2.144 | 41 | 3 0 0 |
| 1.708 | 22 | 2 2 1 |
| 1.528 | 27 | 3 0 2 |
| 1.352 | 10 | 1 1 3 |
| 1.336 | 19 | 4 1 1 |
| 1.238 | 7 | 3 3 0 |
| 1.143 | 6 | 2 2 3 |

Crystal structure
Cell: 7.4279 7.4279 4.3537 Å, 90.00 90.00 120.00°
Space group P6/mmm (No. 191)
Asymmetric unit:
La  0.3333  0.6667  0.0000 (multiplicity 2)
Dy  0.0000  0.0000  0.0000 (multiplicity 1)
Ga  0.0000  0.3307  0.5000 (multiplicity 6)

---

La5DyGa6: simulated X-ray powder pattern (Cu Kα (λ = 1.5418 Å)), based on a structure optimized by DFT (PBE).

Largest 10 diffraction maxima, by angle, 15° ≤ 2θ ≤ 90°:
| d_spacing | I (rel.) | hkl |
| --- | --- | --- |
| 3.739 | 15 | 0 2 0 |
| 2.653 | 20 | 0 0 3 |
| 2.642 | 100 | 2 0 -1 |
| 1.873 | 7 | 2 0 2 |
| 1.868 | 14 | 0 4 0 |
| 1.530 | 14 | 1 2 4 |
| 1.526 | 14 | 3 2 0 |
| 1.524 | 15 | 3 2 -3 |
| 1.320 | 7 | 4 0 -2 |
| 1.181 | 8 | 4 0 -5 |

Crystal structure
Cell: 5.277 7.468 8.377 Å, 90.00 108.21 90.00°
Space group P2/m (No. 10)
Asymmetric unit:
La  0.000  0.000  0.000 (multiplicity 1)
La  0.328  0.000  0.656 (multiplicity 2)
La  0.334  0.500  0.668 (multiplicity 2)
Dy  0.000  0.500  0.000 (multiplicity 1)
Ga  0.161  0.259  0.321 (multiplicity 4)
Ga  0.500  0.256  0.000 (multiplicity 2)

---

LaDyGaRu: simulated X-ray powder pattern (Cu Kα (λ = 1.5418 Å)), based on a structure optimized by DFT (PBE).

Largest 10 diffraction maxima, by angle, 15° ≤ 2θ ≤ 90°:
| d_spacing | I (rel.) | hkl |
| --- | --- | --- |
| 3.144 | 13 | 1 0 2 |
| 2.867 | 100 | 1 1 1 |
| 2.818 | 30 | 0 1 3 |
| 2.668 | 20 | 0 0 4 |
| 2.310 | 28 | 0 2 0 |
| 2.282 | 36 | 1 1 3 |
| 2.200 | 16 | 1 0 4 |
| 1.945 | 17 | 2 0 0 |
| 1.734 | 19 | 1 1 5 |
| 1.488 | 14 | 2 2 0 |

Crystal structure
Cell: 3.891 4.620 10.671 Å, 90.00 90.00 90.00°
Space group Amm2 (No. 38)
Asymmetric unit:
La  0.000  0.000  0.000 (multiplicity 2)
Dy  0.500  0.000  0.703 (multiplicity 2)
Ga  0.500  0.000  0.397 (multiplicity 2)
Ru  0.000  0.000  0.232 (multiplicity 2)

---

Dy4MgGa: simulated X-ray powder pattern (Cu Kα (λ = 1.5418 Å)), based on a structure optimized by DFT (PBE).

Largest 10 diffraction maxima, by angle, 15° ≤ 2θ ≤ 90°:
| d_spacing | I (rel.) | hkl |
| --- | --- | --- |
| 3.826 | 36 | 0 0 2 |
| 3.485 | 63 | 1 1 0 |
| 2.577 | 100 | 1 1 2 |
| 2.465 | 47 | 2 0 0 |
| 2.072 | 28 | 2 0 2 |
| 1.743 | 17 | 2 2 0 |
| 1.586 | 12 | 2 2 2 |
| 1.559 | 13 | 3 1 0 |
| 1.511 | 16 | 2 0 4 |
| 1.444 | 33 | 3 1 2 |

Crystal structure
Cell: 4.929 4.929 7.652 Å, 90.00 90.00 90.00°
Space group P4/mmm (No. 123)
Asymmetric unit:
Dy  0.000  0.500  0.228 (multiplicity 4)
Mg  0.000  0.000  0.500 (multiplicity 1)
Ga  0.500  0.500  0.000 (multiplicity 1)